Starting from the GGA-PBE geometry in Alexandria, the PXRD pattern of ErPa2N3 was simulated for a wavelength of 1.5418 Å.

Structural model:
Unit cell a=6.0287 b=6.0287 c=6.0287 alpha=146.57 beta=131.90 gamma=59.85
Sites, in units of the cell vectors:
Er 0.0000 0.0000 0.0000
Pa 0.3338 0.3338 0.0000
Pa 0.6662 0.6662 0.0000
N 0.1671 0.6671 0.5000
N 0.5000 0.0000 0.5000
N 0.8329 0.3329 0.5000

Peak list (6 most intense, 2θ from 10° to 90°, in order of falling intensity)
31.53 deg, I = 100
36.57 deg, I = 66
52.68 deg, I = 31
62.63 deg, I = 23
62.76 deg, I = 23
89.09 deg, I = 15